Theoretical powder XRD pattern
Compound: Pr2Al2IBr
Radiation: copper Kα
Structure: the PBE geometry in OQMD

The 6 most intense peaks (10° ≤ 2θ ≤ 90°), in order of rising 2θ:
- 2θ 14.44, I = 33
- 2θ 24.66, I = 56
- 2θ 27.74, I = 45
- 2θ 32.27, I = 100
- 2θ 41.41, I = 45
- 2θ 44.04, I = 34

Atomic structure:
```
data_Pr2Al2IBr
_chemical_formula_sum 'Pr2 Al2 I1 Br1'
_symmetry_space_group_name_H-M 'P 1'
_symmetry_Int_Tables_number 1
_cell_length_a 4.361
_cell_length_b 4.361
_cell_length_c 12.267
_cell_angle_alpha 90.00
_cell_angle_beta 90.00
_cell_angle_gamma 120.00
loop_
_symmetry_equiv_pos_as_xyz
'x,y,z'
loop_
_atom_site_label
_atom_site_type_symbol
_atom_site_fract_x
_atom_site_fract_y
_atom_site_fract_z
_atom_site_occupancy
Pr1 Pr 0.000 0.000 0.000 1
Pr2 Pr 0.000 0.000 0.353 1
Al1 Al 0.333 0.667 0.190 1
Al2 Al 0.667 0.333 0.162 1
I1 I 0.333 0.667 0.832 1
Br1 Br 0.667 0.333 0.498 1
```


Theoretical powder XRD pattern
Compound: Rb2ZnCdSb2
Radiation: copper Kα
Structure: the PBE geometry in OQMD

The 6 most intense peaks (10° ≤ 2θ ≤ 90°), in order of rising 2θ:
- 2θ 15.73, I = 25
- 2θ 26.85, I = 100
- 2θ 31.77, I = 26
- 2θ 37.92, I = 47
- 2θ 47.07, I = 21
- 2θ 50.28, I = 41

Atomic structure:
```
data_Rb2ZnCdSb2
_chemical_formula_sum 'Rb2 Zn1 Cd1 Sb2'
_symmetry_space_group_name_H-M 'P 1'
_symmetry_Int_Tables_number 1
_cell_length_a 4.746
_cell_length_b 4.746
_cell_length_c 11.265
_cell_angle_alpha 90.00
_cell_angle_beta 90.00
_cell_angle_gamma 120.00
loop_
_symmetry_equiv_pos_as_xyz
'x,y,z'
loop_
_atom_site_label
_atom_site_type_symbol
_atom_site_fract_x
_atom_site_fract_y
_atom_site_fract_z
_atom_site_occupancy
Rb1 Rb 0.000 0.000 0.250 1
Rb2 Rb 0.000 0.000 0.750 1
Zn1 Zn 0.667 0.333 0.000 1
Cd1 Cd 0.333 0.667 0.500 1
Sb1 Sb 0.333 0.667 0.000 1
Sb2 Sb 0.667 0.333 0.500 1
```


Theoretical powder XRD pattern
Compound: BaTlPdPb
Radiation: copper Kα
Structure: the PBE geometry in OQMD

The 6 most intense peaks (10° ≤ 2θ ≤ 90°), in order of rising 2θ:
- 2θ 29.62, I = 100
- 2θ 31.52, I = 28
- 2θ 35.36, I = 24
- 2θ 36.66, I = 29
- 2θ 38.22, I = 33
- 2θ 38.78, I = 28

Atomic structure:
```
data_BaTlPdPb
_chemical_formula_sum 'Ba2 Tl2 Pd2 Pb2'
_symmetry_space_group_name_H-M 'P 1'
_symmetry_Int_Tables_number 1
_cell_length_a 4.644
_cell_length_b 8.422
_cell_length_c 6.380
_cell_angle_alpha 90.00
_cell_angle_beta 111.27
_cell_angle_gamma 90.00
loop_
_symmetry_equiv_pos_as_xyz
'x,y,z'
loop_
_atom_site_label
_atom_site_type_symbol
_atom_site_fract_x
_atom_site_fract_y
_atom_site_fract_z
_atom_site_occupancy
Ba1 Ba 0.000 0.000 0.000 1
Ba2 Ba 0.119 0.500 0.235 1
Tl1 Tl 0.712 0.198 0.422 1
Tl2 Tl 0.712 0.802 0.422 1
Pd1 Pd 0.282 0.000 0.562 1
Pd2 Pd 0.839 0.500 0.678 1
Pb1 Pb 0.404 0.305 0.807 1
Pb2 Pb 0.404 0.695 0.807 1
```


Theoretical powder XRD pattern
Compound: HgPd3S6
Radiation: copper Kα
Structure: the PBE geometry in OQMD

The 6 most intense peaks (10° ≤ 2θ ≤ 90°), in order of rising 2θ:
- 2θ 25.09, I = 100
- 2θ 28.34, I = 94
- 2θ 31.67, I = 28
- 2θ 41.14, I = 22
- 2θ 43.90, I = 82
- 2θ 50.71, I = 37

Atomic structure:
```
data_HgPd3S6
_chemical_formula_sum 'Hg1 Pd3 S6'
_symmetry_space_group_name_H-M 'P 1'
_symmetry_Int_Tables_number 1
_cell_length_a 7.463
_cell_length_b 7.463
_cell_length_c 3.692
_cell_angle_alpha 90.00
_cell_angle_beta 90.00
_cell_angle_gamma 107.96
loop_
_symmetry_equiv_pos_as_xyz
'x,y,z'
loop_
_atom_site_label
_atom_site_type_symbol
_atom_site_fract_x
_atom_site_fract_y
_atom_site_fract_z
_atom_site_occupancy
Hg1 Hg 0.000 0.000 0.000 1
Pd1 Pd 0.000 0.500 0.500 1
Pd2 Pd 0.500 0.000 0.500 1
Pd3 Pd 0.500 0.500 0.000 1
S1 S 0.164 0.836 0.500 1
S2 S 0.173 0.424 0.000 1
S3 S 0.424 0.173 0.000 1
S4 S 0.576 0.827 0.000 1
S5 S 0.827 0.576 0.000 1
S6 S 0.836 0.164 0.500 1
```


Theoretical powder XRD pattern
Compound: Zr3As2
Radiation: copper Kα
Structure: the PBE geometry in OQMD

The 6 most intense peaks (10° ≤ 2θ ≤ 90°), in order of rising 2θ:
- 2θ 30.75, I = 58
- 2θ 35.61, I = 68
- 2θ 35.95, I = 50
- 2θ 36.63, I = 52
- 2θ 39.20, I = 100
- 2θ 48.36, I = 47

Atomic structure:
```
data_Zr3As2
_chemical_formula_sum 'Zr12 As8'
_symmetry_space_group_name_H-M 'P 1'
_symmetry_Int_Tables_number 1
_cell_length_a 10.604
_cell_length_b 3.765
_cell_length_c 10.187
_cell_angle_alpha 90.00
_cell_angle_beta 90.00
_cell_angle_gamma 90.00
loop_
_symmetry_equiv_pos_as_xyz
'x,y,z'
loop_
_atom_site_label
_atom_site_type_symbol
_atom_site_fract_x
_atom_site_fract_y
_atom_site_fract_z
_atom_site_occupancy
Zr1 Zr 0.045 0.250 0.125 1
Zr2 Zr 0.124 0.750 0.567 1
Zr3 Zr 0.215 0.250 0.795 1
Zr4 Zr 0.285 0.750 0.295 1
Zr5 Zr 0.376 0.250 0.067 1
Zr6 Zr 0.455 0.750 0.625 1
Zr7 Zr 0.545 0.250 0.375 1
Zr8 Zr 0.624 0.750 0.933 1
Zr9 Zr 0.715 0.250 0.705 1
Zr10 Zr 0.785 0.750 0.205 1
Zr11 Zr 0.876 0.250 0.433 1
Zr12 Zr 0.955 0.750 0.875 1
As1 As 0.029 0.750 0.320 1
As2 As 0.194 0.750 0.999 1
As3 As 0.306 0.250 0.499 1
As4 As 0.471 0.250 0.820 1
As5 As 0.529 0.750 0.180 1
As6 As 0.694 0.750 0.501 1
As7 As 0.806 0.250 0.001 1
As8 As 0.971 0.250 0.680 1
```


Theoretical powder XRD pattern
Compound: CoH3C6N6
Radiation: copper Kα
Structure: the PBE geometry in OQMD

The 6 most intense peaks (10° ≤ 2θ ≤ 90°), in order of rising 2θ:
- 2θ 16.11, I = 99
- 2θ 22.62, I = 100
- 2θ 32.37, I = 90
- 2θ 32.54, I = 19
- 2θ 42.98, I = 26
- 2θ 54.93, I = 20

Atomic structure:
```
data_CoH3C6N6
_chemical_formula_sum 'Co1 H3 C6 N6'
_symmetry_space_group_name_H-M 'P 1'
_symmetry_Int_Tables_number 1
_cell_length_a 6.355
_cell_length_b 6.355
_cell_length_c 5.618
_cell_angle_alpha 90.00
_cell_angle_beta 90.00
_cell_angle_gamma 120.00
loop_
_symmetry_equiv_pos_as_xyz
'x,y,z'
loop_
_atom_site_label
_atom_site_type_symbol
_atom_site_fract_x
_atom_site_fract_y
_atom_site_fract_z
_atom_site_occupancy
Co1 Co 0.000 0.000 0.000 1
H1 H 0.000 0.500 0.500 1
H2 H 0.500 0.000 0.500 1
H3 H 0.500 0.500 0.500 1
C1 C 0.000 0.237 0.193 1
C2 C 0.000 0.763 0.807 1
C3 C 0.237 0.000 0.193 1
C4 C 0.237 0.237 0.807 1
C5 C 0.763 0.000 0.807 1
C6 C 0.763 0.763 0.193 1
N1 N 0.000 0.382 0.320 1
N2 N 0.000 0.618 0.680 1
N3 N 0.382 0.000 0.320 1
N4 N 0.382 0.382 0.680 1
N5 N 0.618 0.000 0.680 1
N6 N 0.618 0.618 0.320 1
```


Theoretical powder XRD pattern
Compound: Y3Mg3TlCuPt
Radiation: copper Kα
Structure: the PBE geometry in OQMD

The 6 most intense peaks (10° ≤ 2θ ≤ 90°), in order of rising 2θ:
- 2θ 13.15, I = 49
- 2θ 22.88, I = 67
- 2θ 32.36, I = 100
- 2θ 35.07, I = 74
- 2θ 40.18, I = 43
- 2θ 42.28, I = 38

Atomic structure:
```
data_Y3Mg3TlCuPt
_chemical_formula_sum 'Y3 Mg3 Tl1 Cu1 Pt1'
_symmetry_space_group_name_H-M 'P 1'
_symmetry_Int_Tables_number 1
_cell_length_a 7.774
_cell_length_b 7.774
_cell_length_c 3.939
_cell_angle_alpha 90.00
_cell_angle_beta 90.00
_cell_angle_gamma 120.00
loop_
_symmetry_equiv_pos_as_xyz
'x,y,z'
loop_
_atom_site_label
_atom_site_type_symbol
_atom_site_fract_x
_atom_site_fract_y
_atom_site_fract_z
_atom_site_occupancy
Y1 Y 0.090 0.727 0.000 1
Y2 Y 0.273 0.363 0.000 1
Y3 Y 0.637 0.910 0.000 1
Mg1 Mg 0.426 0.093 0.500 1
Mg2 Mg 0.667 0.574 0.500 1
Mg3 Mg 0.907 0.333 0.500 1
Tl1 Tl 0.000 0.000 0.500 1
Cu1 Cu 0.667 0.333 0.000 1
Pt1 Pt 0.333 0.667 0.500 1
```


Theoretical powder XRD pattern
Compound: LaCoSiGe2
Radiation: copper Kα
Structure: the PBE geometry in OQMD

The 6 most intense peaks (10° ≤ 2θ ≤ 90°), in order of rising 2θ:
- 2θ 22.54, I = 25
- 2θ 34.56, I = 46
- 2θ 34.70, I = 100
- 2θ 41.89, I = 51
- 2θ 55.39, I = 23
- 2θ 71.86, I = 29

Atomic structure:
```
data_LaCoSiGe2
_chemical_formula_sum 'La2 Co2 Si2 Ge4'
_symmetry_space_group_name_H-M 'P 1'
_symmetry_Int_Tables_number 1
_cell_length_a 4.313
_cell_length_b 4.313
_cell_length_c 9.750
_cell_angle_alpha 90.00
_cell_angle_beta 90.00
_cell_angle_gamma 90.00
loop_
_symmetry_equiv_pos_as_xyz
'x,y,z'
loop_
_atom_site_label
_atom_site_type_symbol
_atom_site_fract_x
_atom_site_fract_y
_atom_site_fract_z
_atom_site_occupancy
La1 La 0.000 0.000 0.000 1
La2 La 0.500 0.500 0.500 1
Co1 Co 0.000 0.000 0.654 1
Co2 Co 0.500 0.500 0.154 1
Si1 Si 0.000 0.000 0.425 1
Si2 Si 0.500 0.500 0.925 1
Ge1 Ge 0.000 0.500 0.257 1
Ge2 Ge 0.000 0.500 0.757 1
Ge3 Ge 0.500 0.000 0.257 1
Ge4 Ge 0.500 0.000 0.757 1
```


Theoretical powder XRD pattern
Compound: Si5AgIr3
Radiation: copper Kα
Structure: the PBE geometry in OQMD

The 6 most intense peaks (10° ≤ 2θ ≤ 90°), in order of rising 2θ:
- 2θ 14.60, I = 100
- 2θ 24.07, I = 63
- 2θ 29.45, I = 39
- 2θ 38.61, I = 62
- 2θ 41.49, I = 61
- 2θ 49.30, I = 82

Atomic structure:
```
data_Si5AgIr3
_chemical_formula_sum 'Si5 Ag1 Ir3'
_symmetry_space_group_name_H-M 'P 1'
_symmetry_Int_Tables_number 1
_cell_length_a 5.385
_cell_length_b 5.385
_cell_length_c 6.066
_cell_angle_alpha 90.00
_cell_angle_beta 90.00
_cell_angle_gamma 120.00
loop_
_symmetry_equiv_pos_as_xyz
'x,y,z'
loop_
_atom_site_label
_atom_site_type_symbol
_atom_site_fract_x
_atom_site_fract_y
_atom_site_fract_z
_atom_site_occupancy
Si1 Si 0.000 0.000 0.000 1
Si2 Si 0.333 0.667 0.310 1
Si3 Si 0.333 0.667 0.690 1
Si4 Si 0.667 0.333 0.310 1
Si5 Si 0.667 0.333 0.690 1
Ag1 Ag 0.000 0.000 0.500 1
Ir1 Ir 0.000 0.500 0.000 1
Ir2 Ir 0.500 0.000 0.000 1
Ir3 Ir 0.500 0.500 0.000 1
```


Theoretical powder XRD pattern
Compound: Ta5Si4
Radiation: copper Kα
Structure: the PBE geometry in OQMD

The 6 most intense peaks (10° ≤ 2θ ≤ 90°), in order of rising 2θ:
- 2θ 28.53, I = 72
- 2θ 36.78, I = 79
- 2θ 38.25, I = 100
- 2θ 41.00, I = 94
- 2θ 42.59, I = 90
- 2θ 65.77, I = 49

Atomic structure:
```
data_Ta5Si4
_chemical_formula_sum 'Ta20 Si16'
_symmetry_space_group_name_H-M 'P 1'
_symmetry_Int_Tables_number 1
_cell_length_a 6.778
_cell_length_b 6.778
_cell_length_c 12.392
_cell_angle_alpha 90.00
_cell_angle_beta 90.00
_cell_angle_gamma 90.00
loop_
_symmetry_equiv_pos_as_xyz
'x,y,z'
loop_
_atom_site_label
_atom_site_type_symbol
_atom_site_fract_x
_atom_site_fract_y
_atom_site_fract_z
_atom_site_occupancy
Ta1 Ta 0.003 0.152 0.126 1
Ta2 Ta 0.004 0.668 0.023 1
Ta3 Ta 0.152 0.003 0.874 1
Ta4 Ta 0.168 0.496 0.773 1
Ta5 Ta 0.168 0.832 0.250 1
Ta6 Ta 0.332 0.332 0.000 1
Ta7 Ta 0.332 0.996 0.477 1
Ta8 Ta 0.348 0.503 0.376 1
Ta9 Ta 0.496 0.168 0.227 1
Ta10 Ta 0.497 0.652 0.124 1
Ta11 Ta 0.503 0.348 0.624 1
Ta12 Ta 0.504 0.832 0.727 1
Ta13 Ta 0.652 0.497 0.876 1
Ta14 Ta 0.668 0.004 0.977 1
Ta15 Ta 0.668 0.668 0.500 1
Ta16 Ta 0.832 0.168 0.750 1
Ta17 Ta 0.832 0.504 0.273 1
Ta18 Ta 0.848 0.997 0.374 1
Ta19 Ta 0.996 0.332 0.523 1
Ta20 Ta 0.997 0.848 0.626 1
Si1 Si 0.039 0.691 0.435 1
Si2 Si 0.139 0.207 0.327 1
Si3 Si 0.191 0.461 0.185 1
Si4 Si 0.207 0.139 0.673 1
Si5 Si 0.293 0.639 0.577 1
Si6 Si 0.309 0.961 0.065 1
Si7 Si 0.361 0.707 0.923 1
Si8 Si 0.461 0.191 0.815 1
Si9 Si 0.539 0.809 0.315 1
Si10 Si 0.639 0.293 0.423 1
Si11 Si 0.691 0.039 0.565 1
Si12 Si 0.707 0.361 0.077 1
Si13 Si 0.793 0.861 0.173 1
Si14 Si 0.809 0.539 0.685 1
Si15 Si 0.861 0.793 0.827 1
Si16 Si 0.961 0.309 0.935 1
```